Starting from DFT lattice parameters and positions (GGA+U), the PXRD pattern of Na2ZrMo3O12 was calculated for Cu Kα X-rays.

```
Na2ZrMo3O12
1.0
8.397 -5.707 0.000
8.397 5.707 0.000
-1.013 0.000 5.068
Na Zr Mo O
4 2 6 24
Cartesian
2.284 1.460 1.895
1.778 -1.460 4.429
14.003 1.460 0.639
13.496 -1.460 3.173
7.637 1.416 3.801
8.144 -1.416 1.267
8.144 4.104 1.267
5.605 1.234 0.683
5.098 -1.234 3.217
10.682 1.234 1.851
10.176 -1.234 4.385
7.637 -4.104 3.801
0.372 0.610 4.716
4.532 2.440 1.336
0.879 -0.610 2.181
7.144 3.082 2.447
5.718 2.120 4.591
3.691 0.143 4.668
9.143 3.082 0.087
4.198 -0.143 2.134
6.860 0.477 1.947
9.556 2.120 3.011
6.354 -0.477 4.482
4.025 -2.440 3.870
11.755 2.440 1.198
9.427 0.477 0.587
6.225 -2.120 2.057
8.920 -0.477 3.121
11.583 0.143 2.934
6.637 -3.082 4.981
12.090 -0.143 0.400
10.063 -2.120 0.477
8.637 -3.082 2.621
14.902 0.610 2.887
11.249 -2.440 3.733
15.408 -0.610 0.353
```

Main lines, low angle first (10 to 80 degrees two-theta):
two_theta	I (rel.)
10.74	28
17.93	28
27.31	100
29.61	79
45.88	28
47.64	20